The following is a theoretical X-ray powder pattern of UBeTl2O6. It was derived from a crystal structure in Alexandria, relaxed with GGA-PBE, using CuKα.
Intensities are scaled so that the largest is 100.

Crystal structure
a b c (Å): 5.641 5.641 5.581
angles (deg): 119.59 119.59 59.46
Fractional positions:
U1 0.000 0.000 0.000
Be1 0.500 0.500 0.500
Tl1 0.250 0.250 0.748
Tl2 0.750 0.750 0.252
O1 0.242 0.715 0.714
O2 0.260 0.260 0.216
O3 0.285 0.758 0.286
O4 0.715 0.242 0.714
O5 0.740 0.740 0.784
O6 0.758 0.285 0.286

Main lines, most intense first (2θ = 10–90°):
2theta, I (rel.)
31.71, 100.0
32.03, 48.2
19.33, 40.5
56.87, 30.2
45.93, 26.0
56.29, 21.0
37.68, 18.1
66.25, 16.8
44.99, 13.7
56.97, 10.3
39.24, 10.3
74.63, 9.4